No. 1
For Sm2CdPd2, a crystal structure in the Materials Project, relaxed with PBE gives the theoretical X-ray powder pattern in this record (Cu Ka).
Lines closer than 0.1° are merged.

Structural model:
```
data_Sm2CdPd2
_chemical_formula_sum 'Sm4 Cd2 Pd4'
_space_group_name_H-M_alt 'P 4/m b m'
_space_group_IT_number 127
_space_group_name_Hall '-P 4 2ab'
_cell_length_a 7.787
_cell_length_b 7.787
_cell_length_c 3.871
_cell_angle_alpha 90.00
_cell_angle_beta 90.00
_cell_angle_gamma 90.00
loop_
_atom_site_label
_atom_site_type_symbol
_atom_site_fract_x
_atom_site_fract_y
_atom_site_fract_z
_atom_site_occupancy
Sm1 Sm 0.173 0.327 0.000 1
Cd1 Cd 0.000 0.000 0.500 1
Pd1 Pd 0.128 0.628 0.500 1
```

Peak list (12 most intense, 10 to 80 degrees two-theta, by intensity)
two_theta  I (rel.)  (hkl)
34.65  100  2 1 1
32.60  42  2 0 1
36.49  41  3 1 0
60.88  18  3 1 2
46.95  15  0 0 2
54.02  14  4 1 1
48.20  11  4 1 0
69.38  11  5 2 1
65.73  10  5 1 1
79.16  9  2 1 3
55.40  8  3 3 1
72.91  7  6 0 0

No. 2
For Mg2In3MoS8, a crystal structure in the Materials Project, relaxed with PBE gives the theoretical X-ray powder pattern in this record (Cu Ka).
Lines closer than 0.1° are merged.

Structural model:
```
data_Mg2In3MoS8
_chemical_formula_sum 'Mg6 In9 Mo3 S24'
_space_group_name_H-M_alt 'R -3 m'
_space_group_IT_number 166
_space_group_name_Hall '-R 3 2"'
_cell_length_a 7.6246
_cell_length_b 7.6246
_cell_length_c 18.7356
_cell_angle_alpha 90.00
_cell_angle_beta 90.00
_cell_angle_gamma 120.00
loop_
_atom_site_label
_atom_site_type_symbol
_atom_site_fract_x
_atom_site_fract_y
_atom_site_fract_z
_atom_site_occupancy
Mg1 Mg 0.0000 0.0000 0.1252 1
In1 In 0.0000 0.5000 0.0000 1
Mo1 Mo 0.0000 0.0000 0.5000 1
S1 S 0.0000 0.0000 0.2566 1
S2 S 0.0284 0.5142 0.2479 1
```

Peak list (12 most intense, 10 to 80 degrees two-theta, by intensity)
two_theta  I (rel.)  (hkl)
14.21  100  0 0 3
27.41  95  0 2 1
33.20  95  0 2 4
47.61  43  2 0 8
47.71  42  2 2 0
43.58  32  1 2 5
36.27  17  2 0 5
66.57  16  4 1 3
59.36  15  4 0 4
28.65  14  2 0 2
79.32  13  2 2 12
69.69  13  0 4 8

No. 3
For Nb3Fe8Si, a crystal structure in the Materials Project, relaxed with PBE gives the theoretical X-ray powder pattern in this record (Cu Ka).
Lines closer than 0.1° are merged.

Structural model:
```
data_Nb3Fe8Si
_chemical_formula_sum 'Nb3 Fe8 Si1'
_space_group_name_H-M_alt 'P 3 m 1'
_space_group_IT_number 156
_cell_length_a 4.7836
_cell_length_b 4.7836
_cell_length_c 7.7739
_cell_angle_alpha 90.00
_cell_angle_beta 90.00
_cell_angle_gamma 120.00
loop_
_space_group_symop_operation_xyz
'x,y,z'
'-y,x-y,z'
'-x+y,-x,z'
'-y,-x,z'
'-x+y,y,z'
'x,x-y,z'
loop_
_atom_site_label
_atom_site_type_symbol
_atom_site_fract_x
_atom_site_fract_y
_atom_site_fract_z
_atom_site_occupancy
Nb1 Nb 0.0000 0.0000 0.0000 1
Nb2 Nb 0.0000 0.0000 0.3769 1
Nb3 Nb 0.3333 0.6667 0.8476 1
Fe1 Fe 0.0062 0.5031 0.1847 1
Fe2 Fe 0.3299 0.1650 0.6818 1
Fe3 Fe 0.6667 0.3333 0.4338 1
Fe4 Fe 0.6667 0.3333 0.9409 1
Si1 Si 0.3333 0.6667 0.4835 1
```

Peak list (12 most intense, 10 to 80 degrees two-theta, by intensity)
two_theta  I (rel.)  (hkl)
44.48  100  1 1 2
45.31  86  0 2 1
41.09  84  0 1 3
37.61  42  1 1 0
70.24  30  1 2 3
76.63  26  2 0 5
72.66  21  3 0 2
49.89  16  2 0 2
31.56  15  1 0 2
51.98  15  0 1 4
43.70  14  2 0 0
46.74  13  0 0 4

No. 4
For Mg2NiH2, a crystal structure in the Materials Project, relaxed with PBE gives the theoretical X-ray powder pattern in this record (Cu Ka).
Lines closer than 0.1° are merged.

Structural model:
```
data_Mg2NiH2
_chemical_formula_sum 'Mg4 Ni2 H4'
_space_group_name_H-M_alt 'P 42/m n m'
_space_group_IT_number 136
_space_group_name_Hall '-P 4n 2n'
_cell_length_a 4.430
_cell_length_b 4.430
_cell_length_c 6.367
_cell_angle_alpha 90.00
_cell_angle_beta 90.00
_cell_angle_gamma 90.00
loop_
_atom_site_label
_atom_site_type_symbol
_atom_site_fract_x
_atom_site_fract_y
_atom_site_fract_z
_atom_site_occupancy
Mg1 Mg 0.000 0.500 0.250 1
Ni1 Ni 0.000 0.000 0.000 1
H1 H 0.246 0.246 0.000 1
```

Peak list (12 most intense, 10 to 80 degrees two-theta, by intensity)
two_theta  I (rel.)  (hkl)
24.48  100  1 0 1
40.40  82  1 1 2
40.74  38  2 0 0
48.10  30  2 1 1
73.92  25  3 1 2
47.50  16  1 0 3
58.98  13  2 2 0
73.23  12  2 0 4
64.33  12  2 1 3
57.93  7  0 0 4
79.45  6  3 2 1
64.82  6  3 0 1

No. 5
For AlB2P2H7O13, a crystal structure in the Materials Project, relaxed with PBE gives the theoretical X-ray powder pattern in this record (Cu Ka).
Lines closer than 0.1° are merged.

Structural model:
```
data_AlB2P2H7O13
_chemical_formula_sum 'Al4 B8 P8 H28 O52'
_space_group_name_H-M_alt 'C 1 2/c 1'
_space_group_IT_number 15
_cell_length_a 19.377
_cell_length_b 7.827
_cell_length_c 7.268
_cell_angle_alpha 90.00
_cell_angle_beta 95.14
_cell_angle_gamma 90.00
loop_
_space_group_symop_operation_xyz
'x,y,z'
'-x,-y,-z'
'-x,y,-z+1/2'
'x,-y,z+1/2'
'x+1/2,y+1/2,z'
'-x+1/2,-y+1/2,-z'
'-x+1/2,y+1/2,-z+1/2'
'x+1/2,-y+1/2,z+1/2'
loop_
_atom_site_label
_atom_site_type_symbol
_atom_site_fract_x
_atom_site_fract_y
_atom_site_fract_z
_atom_site_occupancy
Al1 Al 0.250 0.250 0.000 1
B1 B 0.109 0.218 0.205 1
P1 P 0.167 0.085 0.570 1
H1 H 0.000 0.310 0.250 1
H2 H 0.033 0.130 0.703 1
H3 H 0.176 0.336 0.683 1
H4 H 0.177 0.411 0.185 1
O1 O 0.000 0.208 0.750 1
O2 O 0.053 0.308 0.177 1
O3 O 0.112 0.029 0.144 1
O4 O 0.140 0.207 0.420 1
O5 O 0.173 0.303 0.119 1
O6 O 0.192 0.227 0.735 1
O7 O 0.233 0.017 0.033 1
```

Peak list (12 most intense, 10 to 80 degrees two-theta, by intensity)
two_theta  I (rel.)  (hkl)
27.10  100  2 0 2
27.66  72  5 1 -1
12.20  71  1 1 0
17.85  64  3 1 0
27.89  18  2 2 1
22.72  17  0 2 0
17.60  16  1 1 1
42.76  13  3 1 3
44.95  13  8 2 -1
31.27  13  4 2 -1
25.88  11  0 2 1
33.73  9  0 2 2

No. 6
For U3P2Pb2O16, a crystal structure in the Materials Project, relaxed with PBE gives the theoretical X-ray powder pattern in this record (Cu Ka).
Lines closer than 0.1° are merged.

Structural model:
```
data_U3P2Pb2O16
_chemical_formula_sum 'U6 P4 Pb4 O32'
_space_group_name_H-M_alt 'P 1 21/m 1'
_space_group_IT_number 11
_cell_length_a 6.864
_cell_length_b 17.106
_cell_length_c 7.038
_cell_angle_alpha 90.00
_cell_angle_beta 107.66
_cell_angle_gamma 90.00
loop_
_space_group_symop_operation_xyz
'x,y,z'
'-x,-y,-z'
'-x,y+1/2,-z'
'x,-y+1/2,z'
loop_
_atom_site_label
_atom_site_type_symbol
_atom_site_fract_x
_atom_site_fract_y
_atom_site_fract_z
_atom_site_occupancy
U1 U 0.104 0.142 0.302 1
U2 U 0.104 0.250 0.800 1
P1 P 0.099 0.057 0.806 1
Pb1 Pb 0.385 0.600 0.102 1
O1 O 0.023 0.115 0.941 1
O2 O 0.066 0.004 0.278 1
O3 O 0.113 0.250 0.485 1
O4 O 0.128 0.250 0.123 1
O5 O 0.138 0.113 0.647 1
O6 O 0.175 0.750 0.280 1
O7 O 0.183 0.646 0.781 1
O8 O 0.307 0.022 0.927 1
O9 O 0.378 0.125 0.368 1
O10 O 0.388 0.250 0.884 1
```

Peak list (12 most intense, 10 to 80 degrees two-theta, by intensity)
two_theta  I (rel.)  (hkl)
22.23  100  1 3 -1
27.77  75  2 1 0
29.31  56  0 5 1
30.19  53  1 4 1
30.61  45  1 5 -1
13.54  45  1 0 0
27.10  44  0 1 2
16.63  42  1 1 -1
46.94  36  1 5 -3
17.07  33  1 2 0
14.50  32  1 1 0
31.91  30  2 0 -2

No. 7
For MnB2W2, a crystal structure in the Materials Project, relaxed with PBE gives the theoretical X-ray powder pattern in this record (Cu Ka).
Lines closer than 0.1° are merged.

Structural model:
```
data_MnB2W2
_chemical_formula_sum 'Mn2 B4 W4'
_space_group_name_H-M_alt 'P 4/m b m'
_space_group_IT_number 127
_space_group_name_Hall '-P 4 2ab'
_cell_length_a 5.808
_cell_length_b 5.808
_cell_length_c 3.179
_cell_angle_alpha 90.00
_cell_angle_beta 90.00
_cell_angle_gamma 90.00
loop_
_atom_site_label
_atom_site_type_symbol
_atom_site_fract_x
_atom_site_fract_y
_atom_site_fract_z
_atom_site_occupancy
Mn1 Mn 0.000 0.000 0.000 1
B1 B 0.114 0.386 0.000 1
W1 W 0.178 0.678 0.500 1
```

Peak list (12 most intense, 10 to 80 degrees two-theta, by intensity)
two_theta  I (rel.)  (hkl)
45.07  100  2 1 1
34.53  89  2 1 0
42.15  67  2 0 1
28.07  52  0 0 1
73.54  33  4 1 1
75.64  30  3 3 1
30.79  27  2 0 0
49.64  25  3 1 0
69.31  25  2 1 2
66.36  23  4 1 0
58.02  22  0 0 2
35.72  18  1 1 1

No. 8
For Y4CdRu, a crystal structure in the Materials Project, relaxed with PBE gives the theoretical X-ray powder pattern in this record (Cu Ka).
Lines closer than 0.1° are merged.

Structural model:
```
data_Y4CdRu
_chemical_formula_sum 'Y64 Cd16 Ru16'
_space_group_name_H-M_alt 'F -4 3 m'
_space_group_IT_number 216
_space_group_name_Hall 'F -4 2 3'
_cell_length_a 13.669
_cell_length_b 13.669
_cell_length_c 13.669
_cell_angle_alpha 90.00
_cell_angle_beta 90.00
_cell_angle_gamma 90.00
loop_
_atom_site_label
_atom_site_type_symbol
_atom_site_fract_x
_atom_site_fract_y
_atom_site_fract_z
_atom_site_occupancy
Y1 Y 0.000 0.000 0.189 1
Y2 Y 0.061 0.250 0.250 1
Y3 Y 0.153 0.153 0.653 1
Cd1 Cd 0.080 0.080 0.420 1
Ru1 Ru 0.140 0.140 0.860 1
```

Peak list (12 most intense, 10 to 80 degrees two-theta, by intensity)
two_theta  I (rel.)  (hkl)
34.08  100  3 3 3
32.08  45  4 2 2
57.18  39  6 6 0
37.21  32  4 4 0
68.27  15  9 3 3
58.48  14  5 5 5
38.98  12  5 3 1
28.46  10  3 3 1
22.53  10  2 2 2
71.38  8  9 5 1
11.21  8  1 1 1
51.34  8  7 3 1

Which formula does entry 1 have? Sm2CdPd2